Structure and calculated X-ray powder pattern of Ac2Mg2Zn3 (a structure optimized by DFT (GGA-PBE); Cu Kα (λ = 1.5418 Å)).
Neutral-atom scattering factors, no anomalous dispersion.

The 6 most intense peaks (2θ from 15° to 90°), by angle:
d = 5.515 Å, rel. 74; d = 3.980 Å, rel. 63; d = 3.283 Å, rel. 99; d = 2.835 Å, rel. 61; d = 2.805 Å, rel. 100; d = 2.678 Å, rel. 63

Structure:
a = 11.8429 Å, b = 4.8052 Å, c = 7.1711 Å
α = 90.00°, β = 118.93°, γ = 90.00°
Fractional positions:
Ac1 0.1544 0.0000 0.2702
Ac2 0.3456 0.5000 0.7298
Ac3 0.6544 0.5000 0.2702
Ac4 0.8456 0.0000 0.7298
Mg1 0.1466 0.0000 0.7724
Mg2 0.3534 0.5000 0.2276
Mg3 0.6466 0.5000 0.7724
Mg4 0.8534 0.0000 0.2276
Zn1 0.0000 0.5000 0.5000
Zn2 0.0759 0.5000 0.9092
Zn3 0.4241 0.0000 0.0908
Zn4 0.5000 0.0000 0.5000
Zn5 0.5759 0.0000 0.9092
Zn6 0.9241 0.5000 0.0908

Structure and calculated X-ray powder pattern of Ac4MgZn3 (a structure optimized by DFT (GGA-PBE); Cu Kα (λ = 1.5418 Å)).
Neutral-atom scattering factors, no anomalous dispersion.

The 6 most intense peaks (2θ from 15° to 90°), by angle:
d = 3.958 Å, rel. 38; d = 2.799 Å, rel. 100; d = 2.285 Å, rel. 12; d = 1.977 Å, rel. 12; d = 1.617 Å, rel. 26; d = 1.614 Å, rel. 12

Structure:
a = 3.9666 Å, b = 5.5975 Å, c = 11.1726 Å
α = 90.00°, β = 90.00°, γ = 90.00°
Fractional positions:
Ac1 0.0000 0.0000 0.0000
Ac2 0.0000 0.0000 0.5000
Ac3 0.0000 0.5000 0.2401
Ac4 0.0000 0.5000 0.7599
Mg1 0.5000 0.5000 0.5000
Zn1 0.5000 0.0000 0.2559
Zn2 0.5000 0.0000 0.7441
Zn3 0.5000 0.5000 0.0000

Structure and calculated X-ray powder pattern of Ac3Mg4Zn4 (a structure optimized by DFT (GGA-PBE); Cu Kα (λ = 1.5418 Å)).
Neutral-atom scattering factors, no anomalous dispersion.

The 6 most intense peaks (2θ from 15° to 90°), by angle:
d = 4.416 Å, rel. 30; d = 4.371 Å, rel. 24; d = 4.015 Å, rel. 34; d = 2.971 Å, rel. 81; d = 2.913 Å, rel. 33; d = 2.793 Å, rel. 100

Structure:
a = 9.0827 Å, b = 9.0827 Å, c = 9.0827 Å
α = 150.64°, β = 127.53°, γ = 61.26°
Fractional positions:
Ac1 0.0000 0.0000 0.0000
Ac2 0.3802 0.8802 0.5000
Ac3 0.6198 0.1198 0.5000
Mg1 0.0143 0.3251 0.6892
Mg2 0.3641 0.6749 0.6892
Mg3 0.6359 0.3251 0.3108
Mg4 0.9857 0.6749 0.3108
Zn1 0.2247 0.2247 0.0000
Zn2 0.3112 0.5000 0.8112
Zn3 0.6888 0.5000 0.1888
Zn4 0.7753 0.7753 0.0000

Structure and calculated X-ray powder pattern of Ac4Mg3Zn (a structure optimized by DFT (GGA-PBE); Cu Kα (λ = 1.5418 Å)).
Neutral-atom scattering factors, no anomalous dispersion.

The 6 most intense peaks (2θ from 15° to 90°), by angle:
d = 4.113 Å, rel. 30; d = 4.041 Å, rel. 60; d = 2.883 Å, rel. 100; d = 2.858 Å, rel. 51; d = 2.347 Å, rel. 29; d = 1.655 Å, rel. 40

Structure:
a = 4.0413 Å, b = 4.0413 Å, c = 16.4509 Å
α = 90.00°, β = 90.00°, γ = 90.00°
Fractional positions:
Ac1 0.0000 0.0000 0.1133
Ac2 0.0000 0.0000 0.3722
Ac3 0.0000 0.0000 0.6278
Ac4 0.0000 0.0000 0.8867
Mg1 0.5000 0.5000 0.2451
Mg2 0.5000 0.5000 0.5000
Mg3 0.5000 0.5000 0.7549
Zn1 0.5000 0.5000 0.0000

Structure and calculated X-ray powder pattern of AcMg4Zn (a structure optimized by DFT (GGA-PBE); Cu Kα (λ = 1.5418 Å)).
Neutral-atom scattering factors, no anomalous dispersion.

The 6 most intense peaks (2θ from 15° to 90°), by angle:
d = 4.485 Å, rel. 57; d = 4.278 Å, rel. 58; d = 3.625 Å, rel. 63; d = 3.096 Å, rel. 62; d = 2.887 Å, rel. 59; d = 2.819 Å, rel. 100

Structure:
a = 8.5567 Å, b = 4.4853 Å, c = 8.0037 Å
α = 90.00°, β = 90.00°, γ = 90.00°
Fractional positions:
Ac1 0.2500 0.0000 0.1135
Ac2 0.7500 0.0000 0.8865
Mg1 0.0000 0.0000 0.5000
Mg2 0.0625 0.5000 0.7985
Mg3 0.2500 0.5000 0.4526
Mg4 0.4375 0.5000 0.7985
Mg5 0.5000 0.0000 0.5000
Mg6 0.5625 0.5000 0.2015
Mg7 0.7500 0.5000 0.5474
Mg8 0.9375 0.5000 0.2015
Zn1 0.2500 0.0000 0.7072
Zn2 0.7500 0.0000 0.2928

Structure and calculated X-ray powder pattern of AcMg9Zn2 (a structure optimized by DFT (GGA-PBE); Cu Kα (λ = 1.5418 Å)).
Neutral-atom scattering factors, no anomalous dispersion.

The 6 most intense peaks (2θ from 15° to 90°), by angle:
d = 4.404 Å, rel. 100; d = 3.510 Å, rel. 39; d = 3.056 Å, rel. 66; d = 2.704 Å, rel. 81; d = 2.683 Å, rel. 47; d = 1.754 Å, rel. 34

Structure:
a = 9.3195 Å, b = 9.3195 Å, c = 9.3195 Å
α = 99.85°, β = 99.85°, γ = 131.13°
Fractional positions:
Ac1 0.3750 0.6250 0.7500
Ac2 0.6250 0.3750 0.2500
Mg1 0.1250 0.8750 0.2500
Mg2 0.1360 0.5633 0.3272
Mg3 0.1360 0.8088 0.5727
Mg4 0.1912 0.2639 0.3272
Mg5 0.1912 0.8640 0.9273
Mg6 0.2639 0.1912 0.8272
Mg7 0.2639 0.4367 0.0727
Mg8 0.4367 0.2639 0.5727
Mg9 0.4367 0.8640 0.1728
Mg10 0.5633 0.1360 0.8272
Mg11 0.5633 0.7361 0.4273
Mg12 0.7361 0.5633 0.9273
Mg13 0.7361 0.8088 0.1728
Mg14 0.8088 0.1360 0.0727
Mg15 0.8088 0.7361 0.6728
Mg16 0.8640 0.1912 0.4273
Mg17 0.8640 0.4367 0.6728
Mg18 0.8750 0.1250 0.7500
Zn1 0.0000 0.0000 0.0000
Zn2 0.0000 0.0000 0.5000
Zn3 0.0000 0.5000 0.0000
Zn4 0.5000 0.0000 0.5000